# Na2Te3Mo3O16
Simulated powder diffraction line list, CuKα. Input: the PBE+U geometry in Alexandria.

Largest 10 diffraction maxima, sorted by position, 10 to 90 degrees two-theta:
2θ (°)	I/Imax
13.21	36
14.25	41
22.93	74
26.60	100
28.72	86
30.87	43
34.60	52
44.13	24
48.27	23
50.35	24

```
Na2Te3Mo3O16
1.0
5.2496 -5.7974 0.0000
5.2496 5.7974 0.0000
-4.6133 0.0000 5.7933
Na Te Mo O
2 3 3 16
Direct
0.0000 0.0000 0.0000 Na
0.5945 0.4055 0.5000 Na
0.1215 0.4398 0.4976 Te
0.4976 0.5024 0.0000 Te
0.5602 0.8785 0.5024 Te
0.0216 0.5178 0.0172 Mo
0.0925 0.9075 0.5000 Mo
0.4822 0.9784 0.9828 Mo
0.0540 0.0564 0.3710 O
0.1340 0.3784 0.2298 O
0.2162 0.7289 0.6614 O
0.2197 0.4488 0.9208 O
0.2711 0.7838 0.3386 O
0.3428 0.0445 0.1204 O
0.3572 0.0825 0.7714 O
0.3856 0.4282 0.6579 O
0.5512 0.7803 0.0792 O
0.5718 0.6144 0.3421 O
0.6216 0.8660 0.7702 O
0.6990 0.1886 0.1854 O
0.8114 0.3010 0.8146 O
0.9175 0.6428 0.2286 O
0.9436 0.9460 0.6290 O
0.9555 0.6572 0.8796 O
```